[1]
For Li2Ge3O8, DFT lattice parameters and positions (PBE) gives the computed XRD peak list in this record (Cu Kα X-rays).
Kinematic intensities with the Lorentz-polarization factor, no thermal factor.

Top 12 peaks for 2θ = 15–90°, by intensity:
h k l  2theta  I/Imax
1 1 -1  18.9  100
2 2 0  23.7  73
3 1 0  28.8  40
2 4 -3  62.3  35
0 4 1  35.4  32
3 3 -1  35.6  32
2 2 1  34.1  29
1 3 1  32.6  21
2 0 -2  35.2  19
1 3 -1  28.4  16
4 4 1  57.4  15
1 3 0  24.2  14

Atomic structure:
Lattice parameters (Å, degrees): 10.3230 11.9414 5.1596 90.00 110.87 90.00
Space group C2/c (No. 15)
Inequivalent atoms, fractional coordinates:
Li  0.0000  0.0597  0.2500 x4
Li  0.0000  0.3341  0.2500 x4
Ge  0.0000  0.2018  0.7500 x4
Ge  0.2039  0.4251  0.8897 x8
O  0.0911  0.1957  0.4989 x8
O  0.1128  0.0786  0.9702 x8
O  0.1189  0.3134  0.9795 x8
O  0.1483  0.4512  0.5259 x8



[2]
For LiGe2P3O12, DFT lattice parameters and positions (PBE) gives the computed XRD peak list in this record (Cu Kα X-rays).
Kinematic intensities with the Lorentz-polarization factor, no thermal factor.

Top 12 peaks for 2θ = 15–90°, by intensity:
h k l  2theta  I/Imax
1 1 3  24.8  100
1 0 4  21.1  97
1 1 0  21.2  74
0 2 4  30.0  65
3 0 0  37.1  57
1 1 6  33.6  43
4 1 0  58.2  36
1 2 8  48.3  27
2 1 1  32.9  18
2 2 6  50.9  17
2 1 10  55.5  16
1 3 4  48.5  15

Atomic structure:
Lattice parameters (Å, degrees): 8.3893 8.3893 20.7344 90.00 90.00 120.00
Space group R-3c (No. 167, hexagonal axes)
Inequivalent atoms, fractional coordinates:
Li  0.0000  0.0000  0.0000 x6
Ge  0.0000  0.0000  0.1411 x12
P  0.0000  0.2882  0.2500 x18
O  0.0150  0.1964  0.1882 x36
O  0.0254  0.1846  0.9183 x36



[3]
For LiGe2P3O12, DFT lattice parameters and positions (PBE) gives the computed XRD peak list in this record (Cu Kα X-rays).
Kinematic intensities with the Lorentz-polarization factor, no thermal factor.

Top 12 peaks for 2θ = 15–90°, by intensity:
h k l  2theta  I/Imax
1 1 3  24.9  100
1 0 4  21.0  99
1 1 0  21.3  74
0 2 4  30.1  67
2 -1 6  33.6  47
3 0 0  37.3  29
3 -1 4  37.1  26
3 -2 8  48.2  26
4 1 0  58.5  22
4 -2 6  51.0  18
3 -1 1  33.0  18
2 1 10  55.4  17

Atomic structure:
Lattice parameters (Å, degrees): 8.3529 8.3529 20.8474 90.00 90.00 120.00
Space group R-3 (No. 148, hexagonal axes)
Inequivalent atoms, fractional coordinates:
Li  0.0000  0.0000  0.0000 x3
Li  0.0000  0.0000  0.5000 x3
Ge  0.0000  0.0000  0.1414 x6
Ge  0.0000  0.0000  0.3579 x6
P  0.0006  0.7123  0.7500 x18
O  0.0024  0.1752  0.9175 x18
O  0.0046  0.1925  0.1879 x18
O  0.0354  0.8303  0.6895 x18
O  0.0484  0.8539  0.4167 x18



Q: Which formula does entry 2 have?
A: LiGe2P3O12